(1)
Theoretical powder X-ray diffraction pattern of KBaAsO4 for Cu Kα X-rays, from the GGA-PBE geometry in the Materials Project.

Cell and atoms:
```
KBaAsO4
1.0
7.9242 0.0000 0.0000
0.0000 5.9938 0.0000
0.0000 0.0000 10.4847
K Ba As O
4 4 4 16
direct
0.1660 0.2500 0.0807
0.3340 0.7500 0.5807
0.6660 0.2500 0.4193
0.8340 0.7500 0.9193
0.0046 0.7500 0.3016
0.4954 0.2500 0.8016
0.5046 0.7500 0.1984
0.9954 0.2500 0.6984
0.2293 0.2500 0.4182
0.2707 0.7500 0.9182
0.7293 0.2500 0.0818
0.7707 0.7500 0.5818
0.0116 0.2500 0.4238
0.1915 0.7500 0.0723
0.2031 0.5131 0.8403
0.2031 0.9869 0.8403
0.2969 0.0131 0.3403
0.2969 0.4869 0.3403
0.3085 0.2500 0.5723
0.4884 0.7500 0.9238
0.5116 0.2500 0.0762
0.6915 0.7500 0.4277
0.7031 0.5131 0.6597
0.7031 0.9869 0.6597
0.7969 0.0131 0.1597
0.7969 0.4869 0.1597
0.8085 0.2500 0.9277
0.9884 0.7500 0.5762
```

Main lines, in order of falling intensity (10° ≤ 2θ ≤ 90°):
(2 1 1), d = 3.155 Å, 2θ = 28.3°, I 100.0; (0 1 3), d = 3.019 Å, 2θ = 29.6°, I 47.3; (0 2 0), d = 2.997 Å, 2θ = 29.8°, I 39.0; (2 2 2), d = 2.175 Å, 2θ = 41.5°, I 26.4; (1 1 4), d = 2.298 Å, 2θ = 39.2°, I 22.6; (0 1 1), d = 5.204 Å, 2θ = 17.0°, I 18.6

(2)
Theoretical powder X-ray diffraction pattern of BeO2 for Cu Kα X-rays, from the GGA-PBE geometry in the Materials Project.

Cell and atoms:
```
BeO2
1.0
3.6803 0.0000 0.0000
0.0146 5.4617 0.0000
1.0357 0.0058 7.5683
Be O
4 8
direct
0.0000 0.0000 0.0000
0.0007 0.7222 0.5119
0.0831 0.2223 0.3712
0.0846 0.5001 0.8829
0.0385 0.9890 0.4735
0.0445 0.4890 0.4094
0.1291 0.2388 0.9251
0.3099 0.6158 0.6846
0.4186 0.1044 0.2109
0.6655 0.6038 0.6718
0.7753 0.1162 0.1983
0.9551 0.7390 0.9581
```

Main lines, in order of falling intensity (10° ≤ 2θ ≤ 90°):
(0 1 1), d = 4.429 Å, 2θ = 20.0°, I 100.0; (1 0 2), d = 2.824 Å, 2θ = 31.7°, I 38.7; (1 0 0), d = 3.646 Å, 2θ = 24.4°, I 23.1; (1 0 -2), d = 2.464 Å, 2θ = 36.5°, I 15.7; (0 2 0), d = 2.731 Å, 2θ = 32.8°, I 13.7; (0 1 3), d = 2.290 Å, 2θ = 39.3°, I 13.6

(3)
Theoretical powder X-ray diffraction pattern of Li7Sn3 for Cu Kα X-rays, from the GGA-PBE geometry in the Materials Project.

Cell and atoms:
```
Li7Sn3
1.0
8.5318 0.0000 0.0000
0.0000 4.7432 0.0000
-2.6245 0.0000 9.0903
Li Sn
14 6
direct
0.0056 0.2500 0.3792
0.0070 0.7500 0.1273
0.1878 0.2500 0.1698
0.1996 0.2500 0.6817
0.3963 0.7500 0.7249
0.3983 0.2500 0.9856
0.4002 0.2500 0.4662
0.5998 0.7500 0.5337
0.6017 0.7500 0.0144
0.6037 0.2500 0.2751
0.8004 0.7500 0.3183
0.8122 0.7500 0.8302
0.9930 0.2500 0.8727
0.9944 0.7500 0.6208
0.1940 0.7500 0.9144
0.1971 0.7500 0.4323
0.4042 0.7500 0.2240
0.5958 0.2500 0.7760
0.8029 0.2500 0.5677
0.8060 0.2500 0.0856
```

Main lines, in order of falling intensity (10° ≤ 2θ ≤ 90°):
(1 1 0), d = 4.105 Å, 2θ = 21.7°, I 100.0; (3 1 -2), d = 2.343 Å, 2θ = 38.4°, I 82.2; (2 0 -2), d = 3.577 Å, 2θ = 24.9°, I 68.6; (0 1 4), d = 2.050 Å, 2θ = 44.2°, I 34.5; (1 1 -2), d = 3.282 Å, 2θ = 27.2°, I 30.5; (2 2 -2), d = 1.977 Å, 2θ = 45.9°, I 27.6